Calculated powder X-ray diffraction pattern of Ho2ErTm7 for Cu Kα (λ = 1.5418 Å), from the GGA-PBE geometry in Alexandria.
Lines closer than 0.1° are merged.

Structure:
```
data_Ho2ErTm7
_chemical_formula_sum 'Ho2 Er1 Tm7'
_space_group_name_H-M_alt 'P 1'
_space_group_IT_number 1
_cell_length_a 9.2922
_cell_length_b 9.2922
_cell_length_c 9.2922
_cell_angle_alpha 146.62
_cell_angle_beta 136.28
_cell_angle_gamma 56.10
loop_
_space_group_symop_operation_xyz
'x,y,z'
loop_
_atom_site_label
_atom_site_type_symbol
_atom_site_fract_x
_atom_site_fract_y
_atom_site_fract_z
Ho1 Ho 0.1994 0.1994 0.0000
Ho2 Ho 0.8006 0.8006 0.0000
Er1 Er 0.5000 0.0000 0.5000
Tm1 Tm 0.0000 0.0000 0.0000
Tm2 Tm 0.1406 0.3903 0.7503
Tm3 Tm 0.3004 0.8004 0.5000
Tm4 Tm 0.3600 0.6097 0.7503
Tm5 Tm 0.6400 0.3903 0.2497
Tm6 Tm 0.6996 0.1996 0.5000
Tm7 Tm 0.8594 0.6097 0.2497
```

Largest 10 diffraction maxima, sorted by position, 10° ≤ 2θ ≤ 90°:
31.29 deg, I 89.0
32.03 deg, I 100.0
33.58 deg, I 45.8
33.90 deg, I 42.8
34.99 deg, I 16.4
42.13 deg, I 16.2
48.46 deg, I 31.6
59.06 deg, I 17.6
59.93 deg, I 17.9
63.21 deg, I 34.0

---

Calculated powder X-ray diffraction pattern of Na3U2NbN6 for Cu Kα (λ = 1.5418 Å), from the GGA-PBE geometry in Alexandria.
Lines closer than 0.1° are merged.

Structure:
```
data_Na3U2NbN6
_chemical_formula_sum 'Na3 U2 Nb1 N6'
_space_group_name_H-M_alt 'P 1'
_space_group_IT_number 1
_cell_length_a 5.8407
_cell_length_b 5.8407
_cell_length_c 6.0261
_cell_angle_alpha 99.21
_cell_angle_beta 99.21
_cell_angle_gamma 120.02
loop_
_space_group_symop_operation_xyz
'x,y,z'
loop_
_atom_site_label
_atom_site_type_symbol
_atom_site_fract_x
_atom_site_fract_y
_atom_site_fract_z
Na1 Na 0.0000 0.0000 0.0000
Na2 Na 0.3397 0.6603 0.0000
Na3 Na 0.6603 0.3397 0.0000
U1 U 0.1668 0.8332 0.5000
U2 U 0.8332 0.1668 0.5000
Nb1 Nb 0.5000 0.5000 0.5000
N1 N 0.1095 0.4378 0.3126
N2 N 0.2335 0.2335 0.6878
N3 N 0.4378 0.1095 0.3126
N4 N 0.5622 0.8905 0.6874
N5 N 0.7665 0.7665 0.3122
N6 N 0.8905 0.5622 0.6874
```

Largest 10 diffraction maxima, sorted by position, 10° ≤ 2θ ≤ 90°:
15.52 deg, I 100.0
31.07 deg, I 47.8
31.34 deg, I 23.0
32.39 deg, I 58.6
37.27 deg, I 65.6
40.60 deg, I 20.2
53.08 deg, I 14.3
54.43 deg, I 21.9
56.95 deg, I 21.0
64.04 deg, I 13.1

---

Calculated powder X-ray diffraction pattern of PuAgBi2 for Cu Kα (λ = 1.5418 Å), from the GGA-PBE geometry in Alexandria.
Lines closer than 0.1° are merged.

Structure:
```
data_PuAgBi2
_chemical_formula_sum 'Pu2 Ag2 Bi4'
_space_group_name_H-M_alt 'P 1'
_space_group_IT_number 1
_cell_length_a 6.0550
_cell_length_b 6.0550
_cell_length_c 6.5449
_cell_angle_alpha 90.00
_cell_angle_beta 90.00
_cell_angle_gamma 116.43
loop_
_space_group_symop_operation_xyz
'x,y,z'
loop_
_atom_site_label
_atom_site_type_symbol
_atom_site_fract_x
_atom_site_fract_y
_atom_site_fract_z
Pu1 Pu 0.2500 0.7500 0.7847
Pu2 Pu 0.7500 0.2500 0.2153
Ag1 Ag 0.2500 0.2500 0.5000
Ag2 Ag 0.7500 0.7500 0.5000
Bi1 Bi 0.2500 0.2500 0.0000
Bi2 Bi 0.2500 0.7500 0.3035
Bi3 Bi 0.7500 0.2500 0.6965
Bi4 Bi 0.7500 0.7500 0.0000
```

Largest 10 diffraction maxima, sorted by position, 10° ≤ 2θ ≤ 90°:
31.94 deg, I 19.5
32.42 deg, I 87.4
33.04 deg, I 100.0
34.86 deg, I 43.4
39.45 deg, I 51.8
53.65 deg, I 42.9
60.98 deg, I 14.7
61.36 deg, I 17.3
66.78 deg, I 12.4
67.87 deg, I 27.4

---

Calculated powder X-ray diffraction pattern of KCuH for Cu Kα (λ = 1.5418 Å), from the GGA-PBE geometry in Alexandria.
Lines closer than 0.1° are merged.

Structure:
```
data_KCuH
_chemical_formula_sum 'K2 Cu2 H2'
_space_group_name_H-M_alt 'P 1'
_space_group_IT_number 1
_cell_length_a 6.4435
_cell_length_b 6.4435
_cell_length_c 5.8791
_cell_angle_alpha 115.31
_cell_angle_beta 115.31
_cell_angle_gamma 35.17
loop_
_space_group_symop_operation_xyz
'x,y,z'
loop_
_atom_site_label
_atom_site_type_symbol
_atom_site_fract_x
_atom_site_fract_y
_atom_site_fract_z
K1 K 0.0000 0.0000 0.0000
K2 K 0.1858 0.1858 0.6590
Cu1 Cu 0.4202 0.4202 0.4322
Cu2 Cu 0.7864 0.7864 0.2298
H1 H 0.3972 0.3972 0.6738
H2 H 0.5237 0.5237 0.3425
```

Largest 10 diffraction maxima, sorted by position, 10° ≤ 2θ ≤ 90°:
16.14 deg, I 24.5
16.87 deg, I 31.4
17.36 deg, I 39.0
29.18 deg, I 36.2
30.43 deg, I 61.6
31.77 deg, I 100.0
32.30 deg, I 61.3
33.61 deg, I 31.8
47.54 deg, I 30.5
56.70 deg, I 28.8

---

Calculated powder X-ray diffraction pattern of Li2AcHg for Cu Kα (λ = 1.5418 Å), from the GGA-PBE geometry in Alexandria.
Lines closer than 0.1° are merged.

Structure:
```
data_Li2AcHg
_chemical_formula_sum 'Li4 Ac2 Hg2'
_space_group_name_H-M_alt 'P 1'
_space_group_IT_number 1
_cell_length_a 4.8045
_cell_length_b 6.0332
_cell_length_c 7.1783
_cell_angle_alpha 90.00
_cell_angle_beta 90.00
_cell_angle_gamma 90.00
loop_
_space_group_symop_operation_xyz
'x,y,z'
loop_
_atom_site_label
_atom_site_type_symbol
_atom_site_fract_x
_atom_site_fract_y
_atom_site_fract_z
Li1 Li 0.2500 0.0183 0.1039
Li2 Li 0.2500 0.4817 0.1039
Li3 Li 0.7500 0.5183 0.8961
Li4 Li 0.7500 0.9817 0.8961
Ac1 Ac 0.2500 0.2500 0.5844
Ac2 Ac 0.7500 0.7500 0.4156
Hg1 Hg 0.2500 0.7500 0.7823
Hg2 Hg 0.7500 0.2500 0.2177
```

Largest 10 diffraction maxima, sorted by position, 10° ≤ 2θ ≤ 90°:
12.33 deg, I 40.6
22.27 deg, I 100.0
26.77 deg, I 74.7
28.95 deg, I 43.4
29.61 deg, I 46.5
34.56 deg, I 63.3
37.39 deg, I 87.1
40.56 deg, I 35.4
48.44 deg, I 24.7
56.37 deg, I 27.6

---

Calculated powder X-ray diffraction pattern of SrTb4S5 for Cu Kα (λ = 1.5418 Å), from the GGA-PBE geometry in Alexandria.
Lines closer than 0.1° are merged.

Structure:
```
data_SrTb4S5
_chemical_formula_sum 'Sr1 Tb4 S5'
_space_group_name_H-M_alt 'P 1'
_space_group_IT_number 1
_cell_length_a 6.9275
_cell_length_b 6.9275
_cell_length_c 9.7825
_cell_angle_alpha 118.24
_cell_angle_beta 118.24
_cell_angle_gamma 33.26
loop_
_space_group_symop_operation_xyz
'x,y,z'
loop_
_atom_site_label
_atom_site_type_symbol
_atom_site_fract_x
_atom_site_fract_y
_atom_site_fract_z
Sr1 Sr 0.0000 0.0000 0.0000
Tb1 Tb 0.1976 0.1976 0.7873
Tb2 Tb 0.4042 0.4042 0.5973
Tb3 Tb 0.5958 0.5958 0.4027
Tb4 Tb 0.8024 0.8024 0.2127
S1 S 0.0000 0.0000 0.5000
S2 S 0.2013 0.2013 0.3095
S3 S 0.3906 0.3906 0.1025
S4 S 0.6094 0.6094 0.8975
S5 S 0.7987 0.7987 0.6905
```

Largest 10 diffraction maxima, sorted by position, 10° ≤ 2θ ≤ 90°:
27.32 deg, I 37.2
27.49 deg, I 37.7
31.75 deg, I 100.0
45.33 deg, I 11.7
45.50 deg, I 47.5
45.77 deg, I 12.0
53.84 deg, I 17.9
54.12 deg, I 12.1
56.74 deg, I 12.4
75.38 deg, I 10.1